Theoretical XRD peak list of Sr4Nb3VO12 for Cu Kα (weighted mean of Kα1 and Kα2), from the PBE+U geometry in Alexandria.
Peak positions follow from Bragg's law for the DFT cell and can differ from measured ones.

Most intense lines, 2θ = 5–70°, sorted by position:
- 15.40 deg, d = 5.755 Å, intensity 3
- 31.08 deg, d = 2.877 Å, intensity 100
- 38.31 deg, d = 2.349 Å, intensity 4
- 44.53 deg, d = 2.035 Å, intensity 36
- 55.30 deg, d = 1.661 Å, intensity 39
- 64.80 deg, d = 1.439 Å, intensity 21

Structural model:
Cell: 8.138 8.138 8.138 Å, 90.00 90.00 90.00°
Space group Im-3m (No. 229)
Asymmetric unit:
Sr 0.250 0.250 0.250 (multiplicity 8)
Nb 0.000 0.000 0.500 (multiplicity 6)
V 0.000 0.000 0.000 (multiplicity 2)
O 0.000 0.000 0.255 (multiplicity 12)
O 0.000 0.250 0.500 (multiplicity 12)